Record 1
# Ba2InGa3
Theoretical X-ray powder pattern, Cu Kα (weighted mean of Kα1 and Kα2). Input: a GGA-PBE-relaxed structure.

Principal peaks in the range 10° ≤ 2θ ≤ 90°, low angle first:
2theta, I_rel, index
28.31, 100.0, 2 2 2
34.57, 19.4, 0 4 0
39.32, 39.4, 4 0 0
49.16, 21.3, 0 2 8
53.34, 32.0, 4 4 0
58.18, 12.9, 2 6 2
64.69, 18.4, 4 2 8
81.71, 9.0, 6 4 6
85.73, 8.6, 4 6 8
86.14, 8.1, 4 8 0

Structure:
```
data_Ba2InGa3
_chemical_formula_sum 'Ba16 In8 Ga24'
_symmetry_space_group_name_H-M 'F m m m'
_symmetry_Int_Tables_number 69
_symmetry_space_group_name_Hall '-F 2 2'
_cell_length_a 9.165
_cell_length_b 10.378
_cell_length_c 15.873
_cell_angle_alpha 90.00
_cell_angle_beta 90.00
_cell_angle_gamma 90.00
loop_
_atom_site_label
_atom_site_type_symbol
_atom_site_fract_x
_atom_site_fract_y
_atom_site_fract_z
_atom_site_occupancy
Ba1 Ba 0.000 0.250 0.000 1
Ba2 Ba 0.250 0.250 0.250 1
In1 In 0.000 0.000 0.167 1
Ga1 Ga 0.000 0.000 0.339 1
Ga2 Ga 0.241 0.000 0.420 1
```

=====

Record 2
# Pr2HoPuTe5
Theoretical X-ray powder pattern, Cu Kα (weighted mean of Kα1 and Kα2). Input: a GGA-PBE-relaxed structure.

Principal peaks in the range 10° ≤ 2θ ≤ 90°, low angle first:
2theta, I_rel, index
23.05, 93.5, 1 1 0
24.29, 30.7, 1 1 1
30.47, 41.4, 0 0 4
32.60, 56.9, 1 1 3
32.83, 100.0, 2 0 0
34.72, 21.9, 1 0 4
38.55, 25.5, 1 1 4
45.40, 55.4, 2 0 4
47.12, 36.5, 2 2 0
57.15, 28.0, 2 2 4

Structure:
```
data_Pr2HoPuTe5
_chemical_formula_sum 'Pr2 Ho1 Pu1 Te5'
_symmetry_space_group_name_H-M 'P 4/m m m'
_symmetry_Int_Tables_number 123
_symmetry_space_group_name_Hall '-P 4 2'
_cell_length_a 5.456
_cell_length_b 5.456
_cell_length_c 11.734
_cell_angle_alpha 90.00
_cell_angle_beta 90.00
_cell_angle_gamma 90.00
loop_
_atom_site_label
_atom_site_type_symbol
_atom_site_fract_x
_atom_site_fract_y
_atom_site_fract_z
_atom_site_occupancy
Pr1 Pr 0.000 0.000 0.195 1
Ho1 Ho 0.500 0.500 0.000 1
Pu1 Pu 0.500 0.500 0.500 1
Te1 Te 0.000 0.000 0.500 1
Te2 Te 0.000 0.500 0.000 1
Te3 Te 0.500 0.500 0.250 1
```

=====

Record 3
# Ac3Ge2Se8
Theoretical X-ray powder pattern, Cu Kα (weighted mean of Kα1 and Kα2). Input: a GGA-PBE-relaxed structure.

Principal peaks in the range 10° ≤ 2θ ≤ 90°, low angle first:
2theta, I_rel, index
22.36, 44.8, 0 1 5
24.95, 100.0, 1 1 0
29.71, 37.1, 2 0 2
31.00, 31.5, 0 0 9
32.07, 38.6, 0 2 4
33.75, 57.4, 2 0 5
37.57, 37.7, 1 0 10
42.42, 34.0, 1 2 5
51.19, 38.4, 2 2 0
61.06, 24.3, 2 2 9

Structure:
```
data_Ac3Ge2Se8
_chemical_formula_sum 'Ac9 Ge6 Se24'
_symmetry_space_group_name_H-M 'R -3 m'
_symmetry_Int_Tables_number 166
_symmetry_space_group_name_Hall '-R 3 2"'
_cell_length_a 7.1381
_cell_length_b 7.1381
_cell_length_c 25.9630
_cell_angle_alpha 90.00
_cell_angle_beta 90.00
_cell_angle_gamma 120.00
loop_
_atom_site_label
_atom_site_type_symbol
_atom_site_fract_x
_atom_site_fract_y
_atom_site_fract_z
_atom_site_occupancy
Ac1 Ac 0.0000 0.0000 0.0000 1
Ac2 Ac 0.0000 0.0000 0.2085 1
Ge1 Ge 0.0000 0.0000 0.4128 1
Se1 Se 0.0000 0.0000 0.3205 1
Se2 Se 0.0397 0.5199 0.7707 1
```